1.
Diffraction record for KMg4Cd. The powder diffractogram is calculated, not measured: it uses a GGA-PBE-relaxed structure and copper Kα.
No peak broadening, texture or thermal motion is included.

Cell and atoms:
```
data_KMg4Cd
_chemical_formula_sum 'K4 Mg16 Cd4'
_cell_length_a 8.7329
_cell_length_b 8.7329
_cell_length_c 8.7329
_cell_angle_alpha 90.00
_cell_angle_beta 90.00
_cell_angle_gamma 90.00
_space_group_name_H-M_alt 'F -4 3 m'
_space_group_IT_number 216
_space_group_name_Hall 'F -4 2 3'
loop_
_atom_site_label
_atom_site_type_symbol
_atom_site_fract_x
_atom_site_fract_y
_atom_site_fract_z
K1 K 0.0000 0.0000 0.0000
Mg1 Mg 0.1241 0.1241 0.6241
Cd1 Cd 0.2500 0.2500 0.2500
```

The 10 most intense peaks (2θ = 10–80°), by angle:
- hkl 1 1 1, 2θ 17.6, d 5.042, I = 35.9
- hkl 2 0 0, 2θ 20.3, d 4.366, I = 16.1
- hkl 2 2 0, 2θ 28.9, d 3.088, I = 65.3
- hkl 3 1 1, 2θ 34.0, d 2.633, I = 100.0
- hkl 2 2 2, 2θ 35.6, d 2.521, I = 16.5
- hkl 4 2 2, 2θ 51.2, d 1.783, I = 24.5
- hkl 3 3 3, 2θ 54.6, d 1.681, I = 32.2
- hkl 4 4 0, 2θ 59.9, d 1.544, I = 20.7
- hkl 6 2 0, 2θ 67.9, d 1.381, I = 10.0
- hkl 5 3 3, 2θ 70.7, d 1.332, I = 10.7

***

2.
Diffraction record for K2NaMgCd6. The powder diffractogram is calculated, not measured: it uses a GGA-PBE-relaxed structure and copper Kα.
No peak broadening, texture or thermal motion is included.

Cell and atoms:
```
data_K2NaMgCd6
_chemical_formula_sum 'K8 Na4 Mg4 Cd24'
_cell_length_a 11.3368
_cell_length_b 11.3368
_cell_length_c 11.3368
_cell_angle_alpha 90.00
_cell_angle_beta 90.00
_cell_angle_gamma 90.00
_space_group_name_H-M_alt 'F m -3 m'
_space_group_IT_number 225
_space_group_name_Hall '-F 4 2 3'
loop_
_atom_site_label
_atom_site_type_symbol
_atom_site_fract_x
_atom_site_fract_y
_atom_site_fract_z
K1 K 0.2500 0.2500 0.2500
Na1 Na 0.0000 0.0000 0.0000
Mg1 Mg 0.0000 0.0000 0.5000
Cd1 Cd 0.0000 0.0000 0.2531
```

The 10 most intense peaks (2θ = 10–80°), by angle:
- hkl 2 0 0, 2θ 15.6, d 5.668, I = 20.7
- hkl 2 2 2, 2θ 27.2, d 3.273, I = 100.0
- hkl 4 0 0, 2θ 31.6, d 2.834, I = 66.3
- hkl 4 2 0, 2θ 35.4, d 2.535, I = 11.4
- hkl 4 4 0, 2θ 45.2, d 2.004, I = 47.1
- hkl 6 2 2, 2θ 53.6, d 1.709, I = 42.7
- hkl 4 4 4, 2θ 56.2, d 1.636, I = 15.9
- hkl 8 0 0, 2θ 65.9, d 1.417, I = 7.2
- hkl 6 6 2, 2θ 72.7, d 1.300, I = 16.5
- hkl 8 4 0, 2θ 74.9, d 1.267, I = 19.4

***

3.
Diffraction record for K2Mg3Cd12Sn. The powder diffractogram is calculated, not measured: it uses a GGA-PBE-relaxed structure and copper Kα.
No peak broadening, texture or thermal motion is included.

Cell and atoms:
```
data_K2Mg3Cd12Sn
_chemical_formula_sum 'K6 Mg9 Cd36 Sn3'
_cell_length_a 7.4938
_cell_length_b 7.4938
_cell_length_c 32.4132
_cell_angle_alpha 90.00
_cell_angle_beta 90.00
_cell_angle_gamma 120.00
_space_group_name_H-M_alt 'R -3 m'
_space_group_IT_number 166
_space_group_name_Hall '-R 3 2"'
loop_
_atom_site_label
_atom_site_type_symbol
_atom_site_fract_x
_atom_site_fract_y
_atom_site_fract_z
K1 K 0.0000 0.0000 0.1503
Mg1 Mg 0.0000 0.5000 0.0000
Cd1 Cd 0.0463 0.5232 0.0933
Cd2 Cd 0.0737 0.5368 0.6188
Sn1 Sn 0.0000 0.0000 0.5000
```

The 10 most intense peaks (2θ = 10–80°), by angle:
- hkl 0 1 2, 2θ 14.7, d 6.025, I = 58.6
- hkl 0 0 6, 2θ 16.4, d 5.402, I = 53.0
- hkl 1 0 4, 2θ 17.5, d 5.066, I = 43.6
- hkl 0 2 4, 2θ 29.7, d 3.012, I = 100.0
- hkl 0 1 11, 2θ 33.4, d 2.683, I = 45.8
- hkl 2 0 8, 2θ 35.4, d 2.533, I = 43.4
- hkl 1 2 2, 2θ 37.1, d 2.425, I = 51.4
- hkl 2 1 4, 2θ 38.3, d 2.348, I = 45.4
- hkl 0 2 10, 2θ 39.3, d 2.293, I = 63.5
- hkl 3 0 6, 2θ 45.1, d 2.008, I = 53.7

***

4.
Diffraction record for KMgCdSn2. The powder diffractogram is calculated, not measured: it uses a GGA-PBE-relaxed structure and copper Kα.
No peak broadening, texture or thermal motion is included.

Cell and atoms:
```
data_KMgCdSn2
_chemical_formula_sum 'K2 Mg2 Cd2 Sn4'
_cell_length_a 4.8902
_cell_length_b 4.8902
_cell_length_c 12.4658
_cell_angle_alpha 90.00
_cell_angle_beta 90.00
_cell_angle_gamma 90.00
_space_group_name_H-M_alt 'I -4 m 2'
_space_group_IT_number 119
_space_group_name_Hall 'I -4 -2'
loop_
_atom_site_label
_atom_site_type_symbol
_atom_site_fract_x
_atom_site_fract_y
_atom_site_fract_z
K1 K 0.0000 0.0000 0.0000
Mg1 Mg 0.0000 0.5000 0.2500
Cd1 Cd 0.0000 0.5000 0.7500
Sn1 Sn 0.0000 0.0000 0.3843
```

The 10 most intense peaks (2θ = 10–80°), by angle:
- hkl 1 0 1, 2θ 19.5, d 4.552, I = 100.0
- hkl 1 0 3, 2θ 28.2, d 3.167, I = 62.1
- hkl 1 1 2, 2θ 29.5, d 3.024, I = 60.4
- hkl 2 0 0, 2θ 36.8, d 2.445, I = 68.3
- hkl 1 1 4, 2θ 38.9, d 2.315, I = 74.1
- hkl 1 0 5, 2θ 40.6, d 2.221, I = 41.8
- hkl 2 1 1, 2θ 41.9, d 2.154, I = 29.9
- hkl 2 1 3, 2θ 46.9, d 1.935, I = 30.3
- hkl 2 1 5, 2θ 55.9, d 1.644, I = 32.7
- hkl 3 1 4, 2θ 67.6, d 1.385, I = 30.0